Structure and theoretical PXRD pattern of La2PrGa3AgPd2 (the PBE geometry in OQMD; CuKα).
Lines closer than 0.1° are merged.

Peak list (6 most intense, 2θ = 10–90°, sorted by position)
two_theta	Rel. int.
32.3	84
35.1	100
36.0	36
41.0	33
42.6	22
45.0	24

Atomic structure:
Cell lengths 4.0274, 7.6342, 7.6342 Å; angles 120.10, 90.00, 90.00 degrees
Fractional positions:
La 0.0000 0.2079 0.7921
La 0.0000 0.7921 0.2079
Pr 0.0000 0.6196 0.6196
Ga 0.5000 0.2102 0.4640
Ga 0.5000 0.4640 0.2102
Ga 0.5000 0.9465 0.9465
Ag 0.0000 0.2061 0.2061
Pd 0.5000 0.5403 0.8762
Pd 0.5000 0.8762 0.5403